Entry 1:
Diffraction record for Pm2Er5Tl. The XRD peak list is calculated, not measured: it uses a GGA-PBE-relaxed structure and λ = 1.5418 Å (Cu Kα).

a b c (Å): 7.0057 14.0385 4.9349
angles (deg): 90.00 90.00 90.00
Fractional coordinates of all 16 atoms:
Pm (0.2448, 0.1290, 0.0000)
Pm (0.2552, 0.6290, 0.0000)
Pm (0.7448, 0.3710, 0.0000)
Pm (0.7552, 0.8710, 0.0000)
Er (0.0000, 0.0000, 0.5000)
Er (0.0059, 0.2566, 0.5000)
Er (0.2435, 0.8760, 0.0000)
Er (0.2565, 0.3760, 0.0000)
Er (0.4941, 0.7566, 0.5000)
Er (0.5000, 0.5000, 0.5000)
Er (0.5059, 0.2434, 0.5000)
Er (0.7435, 0.6240, 0.0000)
Er (0.7565, 0.1240, 0.0000)
Er (0.9941, 0.7434, 0.5000)
Tl (0.0000, 0.5000, 0.5000)
Tl (0.5000, 0.0000, 0.5000)

Principal peaks in the range 10° ≤ 2θ ≤ 90°, low angle first:
- 2θ 31.29, rel. 100.0
- 2θ 36.23, rel. 33.6
- 2θ 36.41, rel. 16.8
- 2θ 52.29, rel. 29.7
- 2θ 62.11, rel. 27.8
- 2θ 62.35, rel. 14.1
- 2θ 65.29, rel. 12.0
- 2θ 85.51, rel. 8.7
- 2θ 85.60, rel. 5.9
- 2θ 88.20, rel. 8.1

---

Entry 2:
Diffraction record for Pm5Er4Tl2. The XRD peak list is calculated, not measured: it uses a GGA-PBE-relaxed structure and λ = 1.5418 Å (Cu Kα).

a b c (Å): 15.8674 15.8674 15.8674
angles (deg): 19.17 19.17 19.17
Fractional coordinates of all 11 atoms:
Pm (0.0000, 0.0000, 0.0000)
Pm (0.1478, 0.1478, 0.1478)
Pm (0.3012, 0.3012, 0.3012)
Pm (0.6988, 0.6988, 0.6988)
Pm (0.8522, 0.8522, 0.8522)
Er (0.0734, 0.0734, 0.0734)
Er (0.2262, 0.2262, 0.2262)
Er (0.7738, 0.7738, 0.7738)
Er (0.9266, 0.9266, 0.9266)
Tl (0.3925, 0.3925, 0.3925)
Tl (0.6075, 0.6075, 0.6075)

Principal peaks in the range 10° ≤ 2θ ≤ 90°, low angle first:
- 2θ 27.28, rel. 10.8
- 2θ 28.68, rel. 15.3
- 2θ 31.66, rel. 96.0
- 2θ 33.93, rel. 100.0
- 2θ 47.08, rel. 32.1
- 2θ 54.88, rel. 11.8
- 2θ 59.29, rel. 33.2
- 2θ 60.71, rel. 18.9
- 2θ 71.40, rel. 11.7
- 2θ 80.21, rel. 13.8

---

Entry 3:
Diffraction record for Pm5ErTl3. The XRD peak list is calculated, not measured: it uses a GGA-PBE-relaxed structure and λ = 1.5418 Å (Cu Kα).

a b c (Å): 9.5565 9.5565 6.8649
angles (deg): 90.00 90.00 120.00
Fractional coordinates of all 18 atoms:
Pm (0.0000, 0.3376, 0.2500)
Pm (0.0000, 0.6624, 0.7500)
Pm (0.3333, 0.6667, 0.0000)
Pm (0.3333, 0.6667, 0.5000)
Pm (0.3376, 0.0000, 0.2500)
Pm (0.3376, 0.3376, 0.7500)
Pm (0.6624, 0.0000, 0.7500)
Pm (0.6624, 0.6624, 0.2500)
Pm (0.6667, 0.3333, 0.0000)
Pm (0.6667, 0.3333, 0.5000)
Er (0.0000, 0.0000, 0.0000)
Er (0.0000, 0.0000, 0.5000)
Tl (0.0000, 0.3261, 0.7500)
Tl (0.0000, 0.6739, 0.2500)
Tl (0.3261, 0.0000, 0.7500)
Tl (0.3261, 0.3261, 0.2500)
Tl (0.6739, 0.0000, 0.2500)
Tl (0.6739, 0.6739, 0.7500)

Principal peaks in the range 10° ≤ 2θ ≤ 90°, low angle first:
- 2θ 32.11, rel. 88.2
- 2θ 32.45, rel. 100.0
- 2θ 42.02, rel. 14.8
- 2θ 46.30, rel. 32.0
- 2θ 57.68, rel. 33.3
- 2θ 57.90, rel. 19.2
- 2θ 63.88, rel. 28.9
- 2θ 67.96, rel. 11.8
- 2θ 77.15, rel. 14.2
- 2θ 82.65, rel. 14.1

---

Entry 4:
Diffraction record for Pm2Er5Tl. The XRD peak list is calculated, not measured: it uses a GGA-PBE-relaxed structure and λ = 1.5418 Å (Cu Kα).

a b c (Å): 8.6551 8.6551 3.5340
angles (deg): 90.06 90.06 66.92
Fractional coordinates of all 8 atoms:
Pm (0.2289, 0.2289, 0.0000)
Pm (0.7711, 0.7711, 0.0000)
Er (0.0000, 0.0000, 0.0000)
Er (0.1474, 0.6104, 0.5004)
Er (0.3896, 0.8526, 0.4996)
Er (0.6104, 0.1474, 0.5004)
Er (0.8526, 0.3896, 0.4996)
Tl (0.5000, 0.5000, 0.0000)

Principal peaks in the range 10° ≤ 2θ ≤ 90°, low angle first:
- 2θ 31.06, rel. 96.9
- 2θ 31.50, rel. 100.0
- 2θ 35.55, rel. 69.7
- 2θ 37.70, rel. 28.5
- 2θ 51.73, rel. 12.9
- 2θ 52.78, rel. 40.6
- 2θ 60.80, rel. 23.7
- 2θ 61.58, rel. 27.8
- 2θ 64.21, rel. 10.8
- 2θ 65.76, rel. 11.3

---

Entry 5:
Diffraction record for Pm12Er6Tl. The XRD peak list is calculated, not measured: it uses a GGA-PBE-relaxed structure and λ = 1.5418 Å (Cu Kα).

a b c (Å): 8.5817 8.5817 8.5817
angles (deg): 88.70 88.70 88.70
Fractional coordinates of all 19 atoms:
Pm (0.0380, 0.2847, 0.9313)
Pm (0.0687, 0.9620, 0.7153)
Pm (0.1353, 0.3202, 0.4843)
Pm (0.2847, 0.9313, 0.0380)
Pm (0.3202, 0.4843, 0.1353)
Pm (0.4843, 0.1353, 0.3202)
Pm (0.5157, 0.8647, 0.6798)
Pm (0.6798, 0.5157, 0.8647)
Pm (0.7153, 0.0687, 0.9620)
Pm (0.8647, 0.6798, 0.5157)
Pm (0.9313, 0.0380, 0.2847)
Pm (0.9620, 0.7153, 0.0687)
Er (0.2143, 0.6002, 0.7566)
Er (0.2434, 0.7857, 0.3998)
Er (0.3998, 0.2434, 0.7857)
Er (0.6002, 0.7566, 0.2143)
Er (0.7566, 0.2143, 0.6002)
Er (0.7857, 0.3998, 0.2434)
Tl (0.5000, 0.5000, 0.5000)

Principal peaks in the range 10° ≤ 2θ ≤ 90°, low angle first:
- 2θ 23.39, rel. 11.1
- 2θ 30.65, rel. 42.9
- 2θ 31.28, rel. 28.5
- 2θ 31.60, rel. 100.0
- 2θ 32.80, rel. 67.8
- 2θ 33.25, rel. 35.2
- 2θ 34.76, rel. 21.0
- 2θ 44.89, rel. 12.2
- 2θ 55.17, rel. 20.0
- 2θ 58.38, rel. 12.4

---

Entry 6:
Diffraction record for Pm7Er2Tl2. The XRD peak list is calculated, not measured: it uses a GGA-PBE-relaxed structure and λ = 1.5418 Å (Cu Kα).

a b c (Å): 11.4730 11.4730 11.4730
angles (deg): 161.56 54.50 129.20
Fractional coordinates of all 11 atoms:
Pm (0.0000, 0.0000, 0.0000)
Pm (0.3164, 0.6554, 0.6609)
Pm (0.3301, 0.4592, 0.8709)
Pm (0.5883, 0.4592, 0.1291)
Pm (0.6515, 0.2840, 0.3675)
Pm (0.9165, 0.2840, 0.6325)
Pm (0.9945, 0.6554, 0.3391)
Er (0.3238, 0.8238, 0.5000)
Er (0.6496, 0.6496, 0.0000)
Tl (0.1845, 0.9405, 0.2440)
Tl (0.6964, 0.9405, 0.7560)

Principal peaks in the range 10° ≤ 2θ ≤ 90°, low angle first:
- 2θ 30.25, rel. 54.7
- 2θ 30.67, rel. 33.3
- 2θ 31.34, rel. 100.0
- 2θ 32.00, rel. 17.4
- 2θ 33.15, rel. 33.2
- 2θ 35.16, rel. 41.7
- 2θ 49.59, rel. 17.0
- 2θ 56.01, rel. 17.3
- 2θ 59.20, rel. 16.6
- 2θ 60.76, rel. 15.5

---

Entry 7:
Diffraction record for Pm3Er6Tl. The XRD peak list is calculated, not measured: it uses a GGA-PBE-relaxed structure and λ = 1.5418 Å (Cu Kα).

a b c (Å): 12.7929 3.4954 14.2159
angles (deg): 90.00 100.79 90.00
Fractional coordinates of all 20 atoms:
Pm (0.0752, 0.2500, 0.1006)
Pm (0.3681, 0.7500, 0.4939)
Pm (0.4224, 0.2500, 0.9027)
Pm (0.5776, 0.7500, 0.0973)
Pm (0.6319, 0.2500, 0.5061)
Pm (0.9248, 0.7500, 0.8994)
Er (0.1117, 0.2500, 0.4648)
Er (0.1911, 0.7500, 0.9213)
Er (0.2237, 0.7500, 0.2845)
Er (0.2476, 0.7500, 0.6897)
Er (0.3418, 0.2500, 0.1186)
Er (0.4898, 0.2500, 0.6902)
Er (0.5102, 0.7500, 0.3098)
Er (0.6582, 0.7500, 0.8814)
Er (0.7524, 0.2500, 0.3103)
Er (0.7763, 0.2500, 0.7155)
Er (0.8089, 0.2500, 0.0787)
Er (0.8883, 0.7500, 0.5352)
Tl (0.0363, 0.2500, 0.7205)
Tl (0.9637, 0.7500, 0.2795)

Principal peaks in the range 10° ≤ 2θ ≤ 90°, low angle first:
- 2θ 30.52, rel. 48.7
- 2θ 31.23, rel. 74.3
- 2θ 32.03, rel. 100.0
- 2θ 33.39, rel. 76.6
- 2θ 37.31, rel. 30.4
- 2θ 49.87, rel. 18.9
- 2θ 52.35, rel. 16.8
- 2θ 55.20, rel. 15.7
- 2θ 57.84, rel. 17.0
- 2θ 62.22, rel. 18.3

---

Entry 8:
Diffraction record for Pm7ErTl4. The XRD peak list is calculated, not measured: it uses a GGA-PBE-relaxed structure and λ = 1.5418 Å (Cu Kα).

a b c (Å): 8.1051 8.1051 10.0519
angles (deg): 119.24 119.24 42.85
Fractional coordinates of all 12 atoms:
Pm (0.0000, 0.0000, 0.0000)
Pm (0.2396, 0.2396, 0.6883)
Pm (0.2980, 0.2980, 0.1191)
Pm (0.4343, 0.4343, 0.5986)
Pm (0.5657, 0.5657, 0.4014)
Pm (0.7020, 0.7020, 0.8809)
Pm (0.7604, 0.7604, 0.3117)
Er (0.5000, 0.5000, 0.0000)
Tl (0.0475, 0.0475, 0.7166)
Tl (0.1858, 0.1858, 0.3368)
Tl (0.8142, 0.8142, 0.6632)
Tl (0.9525, 0.9525, 0.2834)

Principal peaks in the range 10° ≤ 2θ ≤ 90°, low angle first:
- 2θ 28.98, rel. 48.1
- 2θ 29.40, rel. 40.5
- 2θ 30.19, rel. 100.0
- 2θ 30.99, rel. 26.5
- 2θ 31.36, rel. 28.3
- 2θ 31.68, rel. 31.0
- 2θ 34.26, rel. 82.0
- 2θ 35.89, rel. 23.4
- 2θ 42.34, rel. 34.7
- 2θ 44.09, rel. 22.5

---

Entry 9:
Diffraction record for Pm3ErTl. The XRD peak list is calculated, not measured: it uses a GGA-PBE-relaxed structure and λ = 1.5418 Å (Cu Kα).

a b c (Å): 13.0596 13.0596 4.8962
angles (deg): 90.00 90.00 158.42
Fractional coordinates of all 10 atoms:
Pm (0.0534, 0.9466, 0.7500)
Pm (0.2492, 0.7508, 0.7500)
Pm (0.4473, 0.5527, 0.7500)
Pm (0.5527, 0.4473, 0.2500)
Pm (0.7508, 0.2492, 0.2500)
Pm (0.9466, 0.0534, 0.2500)
Er (0.1510, 0.8490, 0.2500)
Er (0.8490, 0.1510, 0.7500)
Tl (0.3468, 0.6532, 0.2500)
Tl (0.6532, 0.3468, 0.7500)

Principal peaks in the range 10° ≤ 2θ ≤ 90°, low angle first:
- 2θ 31.18, rel. 100.0
- 2θ 34.97, rel. 18.1
- 2θ 36.74, rel. 32.5
- 2θ 51.62, rel. 24.1
- 2θ 52.93, rel. 11.5
- 2θ 60.37, rel. 14.6
- 2θ 62.72, rel. 27.4
- 2θ 65.03, rel. 12.1
- 2θ 84.42, rel. 11.6
- 2θ 86.50, rel. 5.8

---

Entry 10:
Diffraction record for PmEr2Tl. The XRD peak list is calculated, not measured: it uses a GGA-PBE-relaxed structure and λ = 1.5418 Å (Cu Kα).

a b c (Å): 11.1188 11.1188 11.1188
angles (deg): 18.62 18.62 18.62
Fractional coordinates of all 4 atoms:
Pm (0.0000, 0.0000, 0.0000)
Er (0.5780, 0.5780, 0.5780)
Er (0.7558, 0.7558, 0.7558)
Tl (0.1666, 0.1666, 0.1666)

Principal peaks in the range 10° ≤ 2θ ≤ 90°, low angle first:
- 2θ 29.17, rel. 31.2
- 2θ 31.80, rel. 100.0
- 2θ 32.80, rel. 36.1
- 2θ 34.58, rel. 61.9
- 2θ 39.92, rel. 24.5
- 2θ 50.74, rel. 35.0
- 2θ 56.10, rel. 21.6
- 2θ 61.14, rel. 15.7
- 2θ 61.75, rel. 35.7
- 2θ 83.37, rel. 13.3

---

Entry 11:
Diffraction record for Pm5Er6Tl. The XRD peak list is calculated, not measured: it uses a GGA-PBE-relaxed structure and λ = 1.5418 Å (Cu Kα).

a b c (Å): 9.3741 9.3741 9.3741
angles (deg): 149.20 115.19 73.46
Fractional coordinates of all 12 atoms:
Pm (0.0000, 0.0000, 0.0000)
Pm (0.1627, 0.6627, 0.5000)
Pm (0.3323, 0.3323, 0.0000)
Pm (0.6677, 0.6677, 0.0000)
Pm (0.8373, 0.3373, 0.5000)
Er (0.0883, 0.8345, 0.2538)
Er (0.2553, 0.5000, 0.7553)
Er (0.4193, 0.1655, 0.2538)
Er (0.5807, 0.8345, 0.7462)
Er (0.7447, 0.5000, 0.2447)
Er (0.9117, 0.1655, 0.7462)
Tl (0.5000, 0.0000, 0.5000)

Principal peaks in the range 10° ≤ 2θ ≤ 90°, low angle first:
- 2θ 30.96, rel. 100.0
- 2θ 35.75, rel. 17.0
- 2θ 35.86, rel. 16.9
- 2θ 36.08, rel. 16.7
- 2θ 51.53, rel. 12.0
- 2θ 51.74, rel. 23.9
- 2θ 61.27, rel. 14.2
- 2θ 61.41, rel. 14.2
- 2θ 61.71, rel. 14.1
- 2θ 64.52, rel. 12.2

---

Entry 12:
Diffraction record for Pm8Er3Tl. The XRD peak list is calculated, not measured: it uses a GGA-PBE-relaxed structure and λ = 1.5418 Å (Cu Kα).

a b c (Å): 8.4883 8.4883 6.2650
angles (deg): 111.62 111.62 84.45
Fractional coordinates of all 12 atoms:
Pm (0.0000, 0.0000, 0.0000)
Pm (0.0542, 0.5851, 0.6435)
Pm (0.2684, 0.7365, 0.3256)
Pm (0.3208, 0.3208, 0.3200)
Pm (0.4973, 0.4973, 0.9510)
Pm (0.5851, 0.0542, 0.6435)
Pm (0.7365, 0.2684, 0.3256)
Pm (0.8233, 0.8233, 0.2783)
Er (0.1602, 0.1602, 0.6564)
Er (0.4089, 0.9127, 0.9742)
Er (0.9127, 0.4089, 0.9742)
Tl (0.6614, 0.6614, 0.6505)

Principal peaks in the range 10° ≤ 2θ ≤ 90°, low angle first:
- 2θ 28.39, rel. 22.8
- 2θ 28.49, rel. 12.5
- 2θ 31.36, rel. 35.5
- 2θ 32.52, rel. 100.0
- 2θ 32.61, rel. 47.0
- 2θ 42.83, rel. 22.3
- 2θ 50.39, rel. 18.3
- 2θ 56.58, rel. 27.8
- 2θ 60.57, rel. 20.1
- 2θ 61.15, rel. 15.2